# Li2Hf3Se6
Computed XRD peak list, λ = 1.5418 Å (Cu Kα). Input: a PBE-relaxed structure.
Neutral-atom scattering factors, no anomalous dispersion.

Structural model:
Unit cell a=6.4731 b=6.4731 c=6.9648 alpha=98.90 beta=98.90 gamma=120.02
Element x y z (fractional)
Li 0.1670 0.8330 0.0000
Li 0.8330 0.1670 0.0000
Hf 0.0000 0.0000 0.5000
Hf 0.3331 0.6669 0.5000
Hf 0.6669 0.3331 0.5000
Se 0.0830 0.4151 0.7459
Se 0.2529 0.2529 0.2544
Se 0.4151 0.0830 0.7459
Se 0.5849 0.9170 0.2541
Se 0.7471 0.7471 0.7456
Se 0.9170 0.5849 0.2541

Main lines, in order of rising 2θ (2θ = 10–80°):
d (Å)  two_theta  Rel. int.
6.623  13.37  77.0
3.194  27.93  39.2
2.712  33.04  100.0
2.509  35.78  19.2
1.970  46.07  39.4
1.868  48.74  33.4
1.539  60.14  17.8
1.239  76.94  17.3